The following is a calculated X-ray diffraction stick pattern of Fe2CoNi5. It was derived from a GGA-PBE-relaxed structure, using Cu Kα.
Neutral-atom scattering factors, no anomalous dispersion.

Cell and atoms:
```
data_Fe2CoNi5
_cell_length_a 4.991
_cell_length_b 9.986
_cell_length_c 3.511
_cell_angle_alpha 90.00
_cell_angle_beta 90.00
_cell_angle_gamma 90.00
_space_group_name_H-M_alt 'P b a m'
_space_group_IT_number 55
loop_
_space_group_symop_operation_xyz
'x,y,z'
'-x,-y,-z'
'-x,-y,z'
'x,y,-z'
'x+1/2,-y+1/2,-z'
'-x+1/2,y+1/2,z'
'-x+1/2,y+1/2,-z'
'x+1/2,-y+1/2,z'
loop_
_atom_site_label
_atom_site_type_symbol
_atom_site_fract_x
_atom_site_fract_y
_atom_site_fract_z
Fe1 Fe 0.245 0.124 0.000
Co1 Co 0.000 0.000 0.500
Ni1 Ni 0.000 0.500 0.500
Ni2 Ni 0.005 0.751 0.500
Ni3 Ni 0.246 0.375 0.000
```

The 3 most intense peaks (2θ from 5° to 70°), sorted by position:
| d_spacing | 2theta | I (rel.) |
| --- | --- | --- |
| 2.034 | 44.54 | 100.0 |
| 1.765 | 51.80 | 31.0 |
| 1.756 | 52.10 | 15.3 |

***

The following is a calculated X-ray diffraction stick pattern of Y3Fe6Co2Ni. It was derived from a GGA-PBE-relaxed structure, using Cu Kα.
Neutral-atom scattering factors, no anomalous dispersion.

Cell and atoms:
```
data_Y3Fe6Co2Ni
_cell_length_a 5.0491
_cell_length_b 5.0491
_cell_length_c 24.5084
_cell_angle_alpha 90.00
_cell_angle_beta 90.00
_cell_angle_gamma 120.00
_space_group_name_H-M_alt 'R -3 m'
_space_group_IT_number 166
_space_group_name_Hall '-R 3 2"'
loop_
_atom_site_label
_atom_site_type_symbol
_atom_site_fract_x
_atom_site_fract_y
_atom_site_fract_z
Y1 Y 0.0000 0.0000 0.0000
Y2 Y 0.0000 0.0000 0.1419
Fe1 Fe 0.0010 0.5005 0.9191
Co1 Co 0.0000 0.0000 0.3325
Ni1 Ni 0.0000 0.0000 0.5000
```

The 10 most intense peaks (2θ from 5° to 70°), sorted by position:
| d_spacing | 2theta | I (rel.) |
| --- | --- | --- |
| 2.733 | 32.77 | 23.4 |
| 2.525 | 35.56 | 33.6 |
| 2.509 | 35.79 | 22.0 |
| 2.178 | 41.47 | 27.4 |
| 2.148 | 42.07 | 100.0 |
| 2.042 | 44.35 | 16.5 |
| 1.997 | 45.42 | 19.7 |
| 1.985 | 45.70 | 12.4 |
| 1.373 | 68.34 | 24.2 |
| 1.367 | 68.69 | 9.6 |

***

The following is a calculated X-ray diffraction stick pattern of Pr2FeCoSi2. It was derived from a GGA-PBE-relaxed structure, using Cu Kα.
Neutral-atom scattering factors, no anomalous dispersion.

Cell and atoms:
```
data_Pr2FeCoSi2
_cell_length_a 4.014
_cell_length_b 4.014
_cell_length_c 7.062
_cell_angle_alpha 90.00
_cell_angle_beta 90.00
_cell_angle_gamma 90.00
_space_group_name_H-M_alt 'P -4 m 2'
_space_group_IT_number 115
loop_
_space_group_symop_operation_xyz
'x,y,z'
'y,-x,-z'
'-x,-y,z'
'-y,x,-z'
'-x,y,z'
'-y,-x,-z'
'x,-y,z'
'y,x,-z'
loop_
_atom_site_label
_atom_site_type_symbol
_atom_site_fract_x
_atom_site_fract_y
_atom_site_fract_z
Pr1 Pr 0.000 0.500 0.181
Fe1 Fe 0.000 0.000 0.500
Co1 Co 0.500 0.500 0.500
Si1 Si 0.000 0.500 0.666
```

The 10 most intense peaks (2θ from 5° to 70°), sorted by position:
| d_spacing | 2theta | I (rel.) |
| --- | --- | --- |
| 3.490 | 25.52 | 100.0 |
| 2.839 | 31.52 | 33.0 |
| 2.651 | 33.81 | 80.5 |
| 2.634 | 34.04 | 50.2 |
| 2.212 | 40.79 | 74.9 |
| 2.007 | 45.17 | 53.4 |
| 1.740 | 52.60 | 28.4 |
| 1.616 | 56.98 | 27.3 |
| 1.600 | 57.59 | 34.4 |
| 1.527 | 60.63 | 23.3 |

***

The following is a calculated X-ray diffraction stick pattern of Fe4CoSi2Pt. It was derived from a GGA-PBE-relaxed structure, using Cu Kα.
Neutral-atom scattering factors, no anomalous dispersion.

Cell and atoms:
```
data_Fe4CoSi2Pt
_cell_length_a 4.043
_cell_length_b 4.043
_cell_length_c 5.769
_cell_angle_alpha 90.00
_cell_angle_beta 90.00
_cell_angle_gamma 90.00
_space_group_name_H-M_alt 'P -4 m 2'
_space_group_IT_number 115
loop_
_space_group_symop_operation_xyz
'x,y,z'
'y,-x,-z'
'-x,-y,z'
'-y,x,-z'
'-x,y,z'
'-y,-x,-z'
'x,-y,z'
'y,x,-z'
loop_
_atom_site_label
_atom_site_type_symbol
_atom_site_fract_x
_atom_site_fract_y
_atom_site_fract_z
Fe1 Fe 0.000 0.000 0.000
Fe2 Fe 0.000 0.500 0.729
Fe3 Fe 0.500 0.500 0.500
Co1 Co 0.000 0.000 0.500
Si1 Si 0.000 0.500 0.262
Pt1 Pt 0.500 0.500 0.000
```

The 10 most intense peaks (2θ from 5° to 70°), sorted by position:
| d_spacing | 2theta | I (rel.) |
| --- | --- | --- |
| 5.769 | 15.36 | 13.7 |
| 4.043 | 21.98 | 17.9 |
| 3.311 | 26.93 | 29.0 |
| 2.884 | 31.00 | 9.5 |
| 2.859 | 31.29 | 17.6 |
| 2.562 | 35.03 | 15.2 |
| 2.031 | 44.63 | 100.0 |
| 2.022 | 44.83 | 50.2 |
| 1.725 | 53.08 | 9.5 |
| 1.429 | 65.27 | 15.6 |

***

The following is a calculated X-ray diffraction stick pattern of ScTlFeCo. It was derived from a GGA-PBE-relaxed structure, using Cu Kα.
Neutral-atom scattering factors, no anomalous dispersion.

Cell and atoms:
```
data_ScTlFeCo
_cell_length_a 6.437
_cell_length_b 6.437
_cell_length_c 6.437
_cell_angle_alpha 90.00
_cell_angle_beta 90.00
_cell_angle_gamma 90.00
_space_group_name_H-M_alt 'F -4 3 m'
_space_group_IT_number 216
_space_group_name_Hall 'F -4 2 3'
loop_
_atom_site_label
_atom_site_type_symbol
_atom_site_fract_x
_atom_site_fract_y
_atom_site_fract_z
Sc1 Sc 0.000 0.000 0.000
Tl1 Tl 0.250 0.250 0.250
Fe1 Fe 0.000 0.000 0.500
Co1 Co 0.250 0.250 0.750
```

The 8 most intense peaks (2θ from 5° to 70°), sorted by position:
| d_spacing | 2theta | I (rel.) |
| --- | --- | --- |
| 3.716 | 23.95 | 34.2 |
| 3.218 | 27.72 | 23.5 |
| 2.276 | 39.60 | 100.0 |
| 1.941 | 46.81 | 18.5 |
| 1.858 | 49.02 | 7.1 |
| 1.609 | 57.25 | 16.5 |
| 1.477 | 62.94 | 8.0 |
| 1.439 | 64.77 | 9.6 |

***

The following is a calculated X-ray diffraction stick pattern of FeCo2Se4. It was derived from a GGA-PBE-relaxed structure, using Cu Kα.
Neutral-atom scattering factors, no anomalous dispersion.

Cell and atoms:
```
data_FeCo2Se4
_cell_length_a 6.974
_cell_length_b 6.974
_cell_length_c 9.807
_cell_angle_alpha 90.00
_cell_angle_beta 90.00
_cell_angle_gamma 90.00
_space_group_name_H-M_alt 'P 41 2 2'
_space_group_IT_number 91
loop_
_space_group_symop_operation_xyz
'x,y,z'
'-y,x,z+1/4'
'-x,-y,z+1/2'
'y,-x,z+3/4'
'x,-y,-z+1/2'
'-y,-x,-z+1/4'
'-x,y,-z'
'y,x,-z+3/4'
loop_
_atom_site_label
_atom_site_type_symbol
_atom_site_fract_x
_atom_site_fract_y
_atom_site_fract_z
Fe1 Fe 0.000 0.234 0.000
Co1 Co 0.241 0.500 0.750
Co2 Co 0.262 0.262 0.375
Se1 Se 0.004 0.254 0.753
Se2 Se 0.251 0.476 0.992
```

The 10 most intense peaks (2θ from 5° to 70°), sorted by position:
| d_spacing | 2theta | I (rel.) |
| --- | --- | --- |
| 3.480 | 25.60 | 20.4 |
| 2.972 | 30.07 | 39.1 |
| 2.960 | 30.19 | 21.8 |
| 2.842 | 31.48 | 69.7 |
| 2.466 | 36.44 | 86.0 |
| 2.452 | 36.65 | 43.2 |
| 1.898 | 47.94 | 25.3 |
| 1.743 | 52.49 | 49.2 |
| 1.739 | 52.65 | 100.0 |
| 1.421 | 65.72 | 27.5 |

***

The following is a calculated X-ray diffraction stick pattern of Fe3CoSi4. It was derived from a GGA-PBE-relaxed structure, using Cu Kα.
Neutral-atom scattering factors, no anomalous dispersion.

Cell and atoms:
```
data_Fe3CoSi4
_cell_length_a 6.2776
_cell_length_b 6.2776
_cell_length_c 7.7187
_cell_angle_alpha 90.00
_cell_angle_beta 90.00
_cell_angle_gamma 120.00
_space_group_name_H-M_alt 'R 3'
_space_group_IT_number 146
_space_group_name_Hall 'R 3'
loop_
_atom_site_label
_atom_site_type_symbol
_atom_site_fract_x
_atom_site_fract_y
_atom_site_fract_z
Fe1 Fe 0.0927 0.6853 0.0000
Co1 Co 0.0000 0.0000 0.8136
Si1 Si 0.0000 0.0000 0.1096
Si2 Si 0.0428 0.2728 0.5671
```

The 10 most intense peaks (2θ from 5° to 70°), sorted by position:
| d_spacing | 2theta | I (rel.) |
| --- | --- | --- |
| 3.143 | 28.40 | 40.0 |
| 2.573 | 34.87 | 6.9 |
| 2.564 | 35.00 | 24.0 |
| 2.222 | 40.59 | 13.4 |
| 1.990 | 45.59 | 100.0 |
| 1.986 | 45.69 | 98.3 |
| 1.819 | 50.17 | 25.0 |
| 1.813 | 50.32 | 72.7 |
| 1.480 | 62.76 | 6.1 |
| 1.404 | 66.59 | 2.9 |

***

The following is a calculated X-ray diffraction stick pattern of YTm2Fe8Co. It was derived from a GGA-PBE-relaxed structure, using Cu Kα.
Neutral-atom scattering factors, no anomalous dispersion.

Cell and atoms:
```
data_YTm2Fe8Co
_cell_length_a 5.0409
_cell_length_b 5.0409
_cell_length_c 24.0849
_cell_angle_alpha 90.00
_cell_angle_beta 90.00
_cell_angle_gamma 120.00
_space_group_name_H-M_alt 'R -3 m'
_space_group_IT_number 166
_space_group_name_Hall '-R 3 2"'
loop_
_atom_site_label
_atom_site_type_symbol
_atom_site_fract_x
_atom_site_fract_y
_atom_site_fract_z
Y1 Y 0.0000 0.0000 0.0000
Tm1 Tm 0.0000 0.0000 0.1423
Fe1 Fe 0.0000 0.0000 0.3329
Fe2 Fe 0.0007 0.5003 0.9176
Co1 Co 0.0000 0.0000 0.5000
```

The 10 most intense peaks (2θ from 5° to 70°), sorted by position:
| d_spacing | 2theta | I (rel.) |
| --- | --- | --- |
| 8.028 | 11.02 | 24.4 |
| 2.702 | 33.15 | 47.8 |
| 2.520 | 35.62 | 55.6 |
| 2.478 | 36.25 | 30.8 |
| 2.174 | 41.54 | 35.9 |
| 2.135 | 42.34 | 100.0 |
| 2.052 | 44.13 | 18.3 |
| 1.988 | 45.63 | 19.2 |
| 1.957 | 46.39 | 21.1 |
| 1.368 | 68.60 | 22.3 |

***

The following is a calculated X-ray diffraction stick pattern of Ga2Co9. It was derived from a GGA-PBE-relaxed structure, using Cu Kα.
Neutral-atom scattering factors, no anomalous dispersion.

Cell and atoms:
```
data_Ga2Co9
_cell_length_a 2.5384
_cell_length_b 2.5384
_cell_length_c 27.7246
_cell_angle_alpha 90.00
_cell_angle_beta 90.00
_cell_angle_gamma 120.00
_space_group_name_H-M_alt 'P -3 m 1'
_space_group_IT_number 164
_space_group_name_Hall '-P 3 2"'
loop_
_atom_site_label
_atom_site_type_symbol
_atom_site_fract_x
_atom_site_fract_y
_atom_site_fract_z
Ga1 Ga 0.3333 0.6667 0.3665
Co1 Co 0.0000 0.0000 0.0000
Co2 Co 0.0000 0.0000 0.2165
Co3 Co 0.3333 0.6667 0.1441
Co4 Co 0.3333 0.6667 0.7125
Co5 Co 0.3333 0.6667 0.9278
```

The 10 most intense peaks (2θ from 5° to 70°), sorted by position:
| d_spacing | 2theta | I (rel.) |
| --- | --- | --- |
| 13.862 | 6.38 | 100.0 |
| 9.242 | 9.57 | 24.4 |
| 6.931 | 12.77 | 5.3 |
| 2.139 | 42.26 | 5.4 |
| 2.133 | 42.38 | 6.5 |
| 2.095 | 43.17 | 39.9 |
| 2.044 | 44.33 | 59.2 |
| 1.980 | 45.82 | 21.9 |
| 1.789 | 51.04 | 50.6 |
| 1.723 | 53.17 | 9.0 |

***

The following is a calculated X-ray diffraction stick pattern of GaCo9. It was derived from a GGA-PBE-relaxed structure, using Cu Kα.
Neutral-atom scattering factors, no anomalous dispersion.

Cell and atoms:
```
data_GaCo9
_cell_length_a 2.495
_cell_length_b 2.495
_cell_length_c 47.800
_cell_angle_alpha 90.00
_cell_angle_beta 90.00
_cell_angle_gamma 90.00
_space_group_name_H-M_alt 'P 4/n m m'
_space_group_IT_number 129
loop_
_space_group_symop_operation_xyz
'x,y,z'
'-x,-y,-z'
'-y+1/2,x,z'
'y+1/2,-x,-z'
'-x+1/2,-y+1/2,z'
'x+1/2,y+1/2,-z'
'y,-x+1/2,z'
'-y,x+1/2,-z'
'x+1/2,-y,-z'
'-x+1/2,y,z'
'-y,-x,-z'
'y,x,z'
'-x,y+1/2,-z'
'x,-y+1/2,z'
'y+1/2,x+1/2,-z'
'-y+1/2,-x+1/2,z'
loop_
_atom_site_label
_atom_site_type_symbol
_atom_site_fract_x
_atom_site_fract_y
_atom_site_fract_z
Ga1 Ga 0.250 0.250 0.154
Co1 Co 0.250 0.250 0.228
Co2 Co 0.250 0.250 0.300
Co3 Co 0.250 0.250 0.373
Co4 Co 0.250 0.250 0.446
Co5 Co 0.250 0.250 0.517
Co6 Co 0.250 0.250 0.590
Co7 Co 0.250 0.250 0.663
Co8 Co 0.250 0.250 0.736
Co9 Co 0.250 0.250 0.806
```

The 10 most intense peaks (2θ from 5° to 70°), sorted by position:
| d_spacing | 2theta | I (rel.) |
| --- | --- | --- |
| 15.933 | 5.55 | 32.2 |
| 9.560 | 9.25 | 8.8 |
| 7.967 | 11.11 | 5.1 |
| 2.115 | 42.76 | 5.8 |
| 2.065 | 43.85 | 33.9 |
| 2.015 | 45.00 | 100.0 |
| 1.770 | 51.63 | 9.6 |
| 1.764 | 51.82 | 42.1 |
| 1.760 | 51.97 | 3.4 |
| 1.707 | 53.69 | 10.8 |

***

The following is a calculated X-ray diffraction stick pattern of GaCo9. It was derived from a GGA-PBE-relaxed structure, using Cu Kα.
Neutral-atom scattering factors, no anomalous dispersion.

Cell and atoms:
```
data_GaCo9
_cell_length_a 2.452
_cell_length_b 3.440
_cell_length_c 37.647
_cell_angle_alpha 90.00
_cell_angle_beta 90.00
_cell_angle_gamma 90.00
_space_group_name_H-M_alt 'P m m n'
_space_group_IT_number 59
loop_
_space_group_symop_operation_xyz
'x,y,z'
'-x,-y,-z'
'-x+1/2,-y+1/2,z'
'x+1/2,y+1/2,-z'
'x+1/2,-y,-z'
'-x+1/2,y,z'
'-x,y+1/2,-z'
'x,-y+1/2,z'
loop_
_atom_site_label
_atom_site_type_symbol
_atom_site_fract_x
_atom_site_fract_y
_atom_site_fract_z
Ga1 Ga 0.250 0.250 0.191
Co1 Co 0.250 0.250 0.258
Co2 Co 0.250 0.250 0.323
Co3 Co 0.250 0.250 0.387
Co4 Co 0.250 0.250 0.452
Co5 Co 0.250 0.250 0.516
Co6 Co 0.250 0.250 0.580
Co7 Co 0.250 0.250 0.645
Co8 Co 0.250 0.250 0.710
Co9 Co 0.250 0.250 0.775
```

The 10 most intense peaks (2θ from 5° to 70°), sorted by position:
| d_spacing | 2theta | I (rel.) |
| --- | --- | --- |
| 9.412 | 9.40 | 23.4 |
| 7.529 | 11.75 | 7.1 |
| 2.215 | 40.73 | 5.0 |
| 2.027 | 44.70 | 55.7 |
| 1.996 | 45.44 | 100.0 |
| 1.986 | 45.69 | 5.9 |
| 1.942 | 46.78 | 43.5 |
| 1.754 | 52.15 | 34.2 |
| 1.719 | 53.28 | 30.5 |
| 1.698 | 54.01 | 27.4 |